# LaNiGe2Rh2
Theoretical PXRD pattern, a wavelength of 1.5418 Å. Input: the PBE geometry in Alexandria.

Structure:
Unit cell a=4.4755 b=4.4755 c=5.5403 alpha=90.00 beta=90.00 gamma=90.00
Space group P4/mmm (No. 123)
Asymmetric unit:
La  0.0000  0.0000  0.0000 (multiplicity 1)
Ni  0.0000  0.0000  0.5000 (multiplicity 1)
Ge  0.0000  0.5000  0.5000 (multiplicity 2)
Rh  0.5000  0.5000  0.2450 (multiplicity 2)

Top 10 peaks for 10 to 90 degrees two-theta, in order of falling intensity:
| 2θ (°) | I_rel | index |
| --- | --- | --- |
| 38.21 | 100.0 | 1 0 2 |
| 40.30 | 80.3 | 2 0 0 |
| 56.74 | 61.8 | 2 1 2 |
| 32.59 | 47.4 | 1 1 1 |
| 28.20 | 46.1 | 1 1 0 |
| 58.31 | 26.5 | 2 2 0 |
| 81.78 | 19.5 | 2 0 4 |
| 85.78 | 18.8 | 3 2 2 |
| 71.88 | 14.9 | 3 0 2 |
| 68.42 | 11.2 | 3 1 1 |

---

# Li3MoCl8
Theoretical PXRD pattern, a wavelength of 1.5418 Å. Input: the PBE geometry in Alexandria.

Structure:
Unit cell a=7.8413 b=10.0128 c=7.6772 alpha=90.00 beta=90.00 gamma=90.00
Space group C222 (No. 21)
Asymmetric unit:
Li  0.0000  0.0000  0.0000 (multiplicity 2)
Li  0.2500  0.2500  0.8403 (multiplicity 4)
Mo  0.0000  0.0000  0.5000 (multiplicity 2)
Cl  0.0000  0.2304  0.5000 (multiplicity 4)
Cl  0.0000  0.2374  0.0000 (multiplicity 4)
Cl  0.2155  0.0075  0.7187 (multiplicity 8)

Top 10 peaks for 10 to 90 degrees two-theta, in order of falling intensity:
| 2θ (°) | I_rel | index |
| --- | --- | --- |
| 14.35 | 100.0 | 1 1 0 |
| 32.65 | 78.7 | 2 0 2 |
| 18.44 | 51.4 | 1 1 1 |
| 11.53 | 46.3 | 0 0 1 |
| 49.28 | 40.0 | 2 4 2 |
| 35.87 | 32.0 | 0 4 0 |
| 21.19 | 28.9 | 0 2 1 |
| 42.83 | 22.2 | 3 1 2 |
| 29.32 | 22.0 | 0 2 2 |
| 28.93 | 20.8 | 2 2 0 |

---

# La2Tb2Sm5
Theoretical PXRD pattern, a wavelength of 1.5418 Å. Input: the PBE geometry in Alexandria.

Structure:
Unit cell a=22.1587 b=3.5391 c=8.4009 alpha=90.00 beta=100.27 gamma=90.00
Space group C2/m (No. 12)
Asymmetric unit:
La  0.1793  0.0000  0.1481 (multiplicity 4)
Tb  0.0470  0.5000  0.3587 (multiplicity 4)
Sm  0.0000  0.0000  0.0000 (multiplicity 2)
Sm  0.0955  0.0000  0.7376 (multiplicity 4)
Sm  0.1904  0.5000  0.5342 (multiplicity 4)

Top 10 peaks for 10 to 90 degrees two-theta, in order of falling intensity:
| 2θ (°) | I_rel | index |
| --- | --- | --- |
| 29.32 | 100.0 | 4 0 2 |
| 35.57 | 64.2 | 5 1 1 |
| 34.20 | 48.4 | 3 1 -2 |
| 32.05 | 43.1 | 2 0 -3 |
| 32.71 | 36.9 | 8 0 -1 |
| 27.43 | 31.4 | 1 1 -1 |
| 28.01 | 27.1 | 1 1 1 |
| 24.95 | 26.4 | 6 0 -1 |
| 41.76 | 23.6 | 7 1 -2 |
| 10.70 | 20.4 | 0 0 1 |

---

# Ac4In3Cu
Theoretical PXRD pattern, a wavelength of 1.5418 Å. Input: the PBE geometry in Alexandria.

Structure:
Unit cell a=3.8898 b=3.8898 c=17.3424 alpha=90.00 beta=90.00 gamma=90.00
Space group P4/mmm (No. 123)
Asymmetric unit:
Ac  0.0000  0.0000  0.1074 (multiplicity 2)
Ac  0.0000  0.0000  0.3687 (multiplicity 2)
In  0.5000  0.5000  0.2369 (multiplicity 2)
In  0.5000  0.5000  0.5000 (multiplicity 1)
Cu  0.5000  0.5000  0.0000 (multiplicity 1)

Top 10 peaks for 10 to 90 degrees two-theta, in order of falling intensity:
| 2θ (°) | I_rel | index |
| --- | --- | --- |
| 30.88 | 100.0 | 1 0 4 |
| 32.55 | 47.7 | 1 1 0 |
| 57.05 | 35.8 | 2 1 4 |
| 46.70 | 17.6 | 2 0 0 |
| 53.85 | 15.6 | 1 1 8 |
| 22.86 | 13.9 | 1 0 0 |
| 64.35 | 9.1 | 2 0 8 |
| 41.66 | 8.2 | 0 0 8 |
| 77.62 | 7.9 | 3 1 0 |
| 20.48 | 7.6 | 0 0 4 |